The following is a computed X-ray powder pattern of Sr2TlZn. It was derived from a cell relaxed with GGA-PBE, using Cu Kα.

Main lines, low angle first (2θ = 10–80°):
19.1 deg, rel. 18
22.1 deg, rel. 5
31.4 deg, rel. 100
37.0 deg, rel. 10
45.0 deg, rel. 18
55.9 deg, rel. 39
65.6 deg, rel. 12
74.5 deg, rel. 17

Crystal structure
Cell: 5.695 5.695 5.695 Å, 60.00 60.00 60.00°
Positions (direct):
Sr  0.250  0.250  0.250
Sr  0.750  0.750  0.750
Tl  0.000  0.000  0.000
Zn  0.500  0.500  0.500

=====

The following is a computed X-ray powder pattern of Sr3U. It was derived from a cell relaxed with GGA-PBE, using Cu Kα.

Main lines, low angle first (2θ = 10–80°):
16.3 deg, rel. 16
26.7 deg, rel. 100
31.5 deg, rel. 10
38.2 deg, rel. 20
47.2 deg, rel. 43
55.1 deg, rel. 14
62.3 deg, rel. 19
75.4 deg, rel. 22

Crystal structure
Cell: 6.668 6.668 6.668 Å, 60.00 60.00 60.00°
Positions (direct):
Sr  0.000  0.000  0.000
Sr  0.250  0.250  0.250
Sr  0.750  0.750  0.750
U  0.500  0.500  0.500

=====

The following is a computed X-ray powder pattern of Sr3U. It was derived from a cell relaxed with GGA-PBE, using Cu Kα.

Main lines, low angle first (2θ = 10–80°):
15.8 deg, rel. 21
22.4 deg, rel. 19
27.5 deg, rel. 100
31.9 deg, rel. 51
45.7 deg, rel. 38
54.1 deg, rel. 46
73.5 deg, rel. 19
75.7 deg, rel. 18

Crystal structure
Cell: 5.619 5.619 5.619 Å, 90.00 90.00 90.00°
Positions (direct):
Sr  0.000  0.000  0.500
Sr  0.000  0.500  0.000
Sr  0.500  0.000  0.000
U  0.500  0.500  0.500